For CaPmSb2Pd5, a GGA-PBE-relaxed structure gives the theoretical PXRD pattern in this record (Cu Kα, 1.54184 Å).
Peak positions follow from Bragg's law for the DFT cell and can differ from measured ones.

The 6 most intense peaks (2θ from 5° to 70°), in order of rising 2θ:
- 34.26°, I = 96
- 36.42°, I = 53
- 39.00°, I = 100
- 41.50°, I = 55
- 54.42°, I = 33
- 56.33°, I = 34

Structural model:
a = 4.6192 Å, b = 4.6192 Å, c = 8.7535 Å
α = 90.00°, β = 90.00°, γ = 90.00°
Sites, in units of the cell vectors:
Ca 0.0000 0.0000 0.0000
Pm 0.0000 0.0000 0.5000
Sb 0.5000 0.5000 0.3382
Sb 0.5000 0.5000 0.6618
Pd 0.0000 0.5000 0.2074
Pd 0.0000 0.5000 0.7926
Pd 0.5000 0.0000 0.2074
Pd 0.5000 0.0000 0.7926
Pd 0.5000 0.5000 0.0000

For CaPrPd10, a GGA-PBE-relaxed structure gives the theoretical PXRD pattern in this record (Cu Kα, 1.54184 Å).
Peak positions follow from Bragg's law for the DFT cell and can differ from measured ones.

The 6 most intense peaks (2θ from 5° to 70°), in order of rising 2θ:
- 19.13°, I = 29
- 38.82°, I = 28
- 39.17°, I = 100
- 40.21°, I = 36
- 43.94°, I = 48
- 63.64°, I = 23

Structural model:
a = 4.4857 Å, b = 5.3574 Å, c = 9.2798 Å
α = 90.00°, β = 90.00°, γ = 90.00°
Sites, in units of the cell vectors:
Ca 0.0000 0.0000 0.0000
Pr 0.0000 0.5000 0.5000
Pd 0.0000 0.0000 0.3327
Pd 0.0000 0.0000 0.6673
Pd 0.0000 0.5000 0.1663
Pd 0.0000 0.5000 0.8337
Pd 0.5000 0.0000 0.5000
Pd 0.5000 0.2509 0.2509
Pd 0.5000 0.2509 0.7491
Pd 0.5000 0.5000 0.0000
Pd 0.5000 0.7491 0.2509
Pd 0.5000 0.7491 0.7491